(1)
Structure and simulated powder X-ray diffraction pattern of PmDy5Y2Sc (the PBE geometry in Alexandria; CuKα).

Cell: 10.2233 10.2233 10.4116 Å, 90.00 90.00 148.30°
Fractional coordinates of all 18 atoms:
Pm1 0.0865 0.9135 0.5000
Pm2 0.9135 0.0865 0.0000
Dy1 0.0184 0.9816 0.7833
Dy2 0.1219 0.8781 0.0644
Dy3 0.2017 0.7983 0.7489
Dy4 0.2218 0.7782 0.3648
Dy5 0.4802 0.5198 0.0642
Dy6 0.5198 0.4802 0.5642
Dy7 0.7782 0.2218 0.8648
Dy8 0.7983 0.2017 0.2489
Dy9 0.8781 0.1219 0.5644
Dy10 0.9816 0.0184 0.2833
Y1 0.3867 0.6133 0.7789
Y2 0.3886 0.6114 0.3594
Y3 0.6114 0.3886 0.8594
Y4 0.6133 0.3867 0.2789
Sc1 0.3030 0.6970 0.0584
Sc2 0.6970 0.3030 0.5584

Main lines, by angle (10° ≤ 2θ ≤ 90°):
2theta	d/Å	Rel. int.
27.08	3.293	18
28.55	3.127	20
30.67	2.915	39
32.05	2.792	46
32.73	2.736	100
43.45	2.083	13
52.04	1.757	13
57.56	1.601	20
60.57	1.529	13
62.43	1.488	14

***

(2)
Structure and simulated powder X-ray diffraction pattern of Pm3Pr2Sm6 (the PBE geometry in Alexandria; CuKα).

Cell: 6.5411 6.5411 11.3029 Å, 93.55 93.55 125.81°
Fractional coordinates of all 11 atoms:
Pm1 0.0000 0.0000 0.0000
Pm2 0.3215 0.6785 0.0000
Pm3 0.6785 0.3215 0.0000
Pr1 0.3590 0.6410 0.5000
Pr2 0.6410 0.3590 0.5000
Sm1 0.0937 0.7781 0.2799
Sm2 0.2219 0.9063 0.7201
Sm3 0.4171 0.4171 0.2315
Sm4 0.5829 0.5829 0.7685
Sm5 0.7781 0.0937 0.2799
Sm6 0.9063 0.2219 0.7201

Main lines, by angle (10° ≤ 2θ ≤ 90°):
2theta	d/Å	Rel. int.
28.06	3.180	26
30.27	2.952	54
30.81	2.902	100
31.97	2.800	48
32.39	2.764	16
32.93	2.720	97
36.14	2.485	15
46.80	1.941	17
56.79	1.621	23
57.79	1.595	15